[1]
The following is a simulated XRD peak list of Ac2Ir3Rh. It was derived from the PBE geometry in Alexandria, using a wavelength of 1.5418 Å.
Kinematic intensities with the Lorentz-polarization factor, no thermal factor.

Peak list (8 most intense, 5° ≤ 2θ ≤ 70°, by angle)
2θ 32.04, intensity 59, hkl 1 0 4; 2θ 32.29, intensity 27, hkl 1 1 0; 2θ 37.72, intensity 53, hkl 0 1 5; 2θ 37.94, intensity 100, hkl 1 1 3; 2θ 38.05, intensity 82, hkl 0 2 1; 2θ 39.77, intensity 55, hkl 2 0 2; 2θ 67.01, intensity 33, hkl 2 0 8; 2θ 67.58, intensity 32, hkl 2 2 0

Atomic structure:
Lattice parameters (Å, degrees): 5.5447 5.5447 13.7361 90.00 90.00 120.00
Space group R-3m (No. 166, hexagonal axes)
One atom of each set of equivalent atoms:
Ac: 0.0000 0.0000 0.1242 [6 per cell]
Ir: 0.0000 0.5000 0.0000 [9 per cell]
Rh: 0.0000 0.0000 0.5000 [3 per cell]


[2]
The following is a simulated XRD peak list of Ac9Ir4Rh2. It was derived from the PBE geometry in Alexandria, using a wavelength of 1.5418 Å.
Kinematic intensities with the Lorentz-polarization factor, no thermal factor.

Peak list (8 most intense, 5° ≤ 2θ ≤ 70°, by angle)
2θ 27.09, intensity 100, hkl 1 1 3; 2θ 35.37, intensity 65, hkl 1 1 6; 2θ 41.78, intensity 47, hkl 3 0 0; 2θ 46.32, intensity 24, hkl 1 1 9; 2θ 50.51, intensity 19, hkl 2 2 3; 2θ 55.87, intensity 18, hkl 2 2 6; 2θ 67.57, intensity 16, hkl 4 1 3; 2θ 69.73, intensity 21, hkl 3 0 12

Atomic structure:
Lattice parameters (Å, degrees): 7.4886 7.4886 20.7069 90.00 90.00 120.00
Space group P-3c1 (No. 165)
One atom of each set of equivalent atoms:
Ac: 0.0000 0.3291 0.2500 [6 per cell]
Ac: 0.0073 0.3422 0.9167 [12 per cell]
Ir: 0.3333 0.6667 0.0031 [4 per cell]
Ir: 0.3333 0.6667 0.3300 [4 per cell]
Rh: 0.0000 0.0000 0.1668 [4 per cell]


[3]
The following is a simulated XRD peak list of Ac3Ir2Rh4. It was derived from the PBE geometry in Alexandria, using a wavelength of 1.5418 Å.
Kinematic intensities with the Lorentz-polarization factor, no thermal factor.

Peak list (8 most intense, 5° ≤ 2θ ≤ 70°, by angle)
2θ 23.50, intensity 6, hkl 1 0 0; 2θ 31.41, intensity 100, hkl 1 0 6; 2θ 41.31, intensity 45, hkl 1 1 0; 2θ 41.77, intensity 15, hkl 0 0 12; 2θ 52.80, intensity 24, hkl 2 0 6; 2θ 60.20, intensity 30, hkl 1 1 12; 2θ 69.16, intensity 21, hkl 2 1 6; 2θ 69.82, intensity 10, hkl 1 0 18

Atomic structure:
Lattice parameters (Å, degrees): 4.3709 4.3709 25.9476 90.00 90.00 120.00
Space group P-6m2 (No. 187)
One atom of each set of equivalent atoms:
Ac: 0.0000 0.0000 0.0831 [2 per cell]
Ac: 0.0000 0.0000 0.2491 [2 per cell]
Ac: 0.0000 0.0000 0.4155 [2 per cell]
Ir: 0.3333 0.6667 0.5000 [1 per cell]
Ir: 0.6667 0.3333 0.1661 [2 per cell]
Ir: 0.6667 0.3333 0.5000 [1 per cell]
Rh: 0.3333 0.6667 0.0000 [1 per cell]
Rh: 0.3333 0.6667 0.1660 [2 per cell]
Rh: 0.3333 0.6667 0.3323 [2 per cell]
Rh: 0.6667 0.3333 0.0000 [1 per cell]
Rh: 0.6667 0.3333 0.3321 [2 per cell]


[4]
The following is a simulated XRD peak list of Ac12IrRh5. It was derived from the PBE geometry in Alexandria, using a wavelength of 1.5418 Å.
Kinematic intensities with the Lorentz-polarization factor, no thermal factor.

Peak list (8 most intense, 5° ≤ 2θ ≤ 70°, by angle)
2θ 12.90, intensity 33, hkl 0 0 2; 2θ 25.94, intensity 100, hkl 2 0 1; 2θ 28.06, intensity 84, hkl 2 0 -3; 2θ 29.31, intensity 20, hkl 1 3 -3; 2θ 32.14, intensity 32, hkl 1 3 3; 2θ 41.38, intensity 62, hkl 0 6 0; 2θ 49.49, intensity 37, hkl 2 6 1; 2θ 69.70, intensity 30, hkl 3 3 -9

Atomic structure:
Lattice parameters (Å, degrees): 7.5580 13.0954 13.9551 90.00 100.35 90.00
Space group C2/m (No. 12)
One atom of each set of equivalent atoms:
Ac: 0.1279 0.0000 0.3837 [4 per cell]
Ac: 0.1281 0.3333 0.3839 [8 per cell]
Ac: 0.2043 0.1664 0.1153 [8 per cell]
Ac: 0.2054 0.5000 0.1154 [4 per cell]
Ir: 0.0000 0.0000 0.0000 [2 per cell]
Rh: 0.0000 0.1667 0.5000 [4 per cell]
Rh: 0.0000 0.3334 0.0000 [4 per cell]
Rh: 0.0000 0.5000 0.5000 [2 per cell]


[5]
The following is a simulated XRD peak list of Ac9Ir2Rh4. It was derived from the PBE geometry in Alexandria, using a wavelength of 1.5418 Å.
Kinematic intensities with the Lorentz-polarization factor, no thermal factor.

Peak list (8 most intense, 5° ≤ 2θ ≤ 70°, by angle)
2θ 27.18, intensity 100, hkl 1 1 3; 2θ 35.44, intensity 55, hkl 1 1 6; 2θ 41.96, intensity 42, hkl 3 0 0; 2θ 46.38, intensity 24, hkl 1 1 9; 2θ 50.72, intensity 19, hkl 2 2 3; 2θ 56.07, intensity 15, hkl 2 2 6; 2θ 67.87, intensity 16, hkl 4 1 3; 2θ 69.87, intensity 19, hkl 3 0 12

Atomic structure:
Lattice parameters (Å, degrees): 7.4579 7.4579 20.7026 90.00 90.00 120.00
Space group P-3c1 (No. 165)
One atom of each set of equivalent atoms:
Ac: 0.0000 0.3280 0.2500 [6 per cell]
Ac: 0.0020 0.3350 0.9165 [12 per cell]
Ir: 0.0000 0.0000 0.1647 [4 per cell]
Rh: 0.3333 0.6667 0.3347 [4 per cell]
Rh: 0.3333 0.6667 0.4987 [4 per cell]


[6]
The following is a simulated XRD peak list of Ac6Ir2Rh. It was derived from the PBE geometry in Alexandria, using a wavelength of 1.5418 Å.
Kinematic intensities with the Lorentz-polarization factor, no thermal factor.

Peak list (8 most intense, 5° ≤ 2θ ≤ 70°, by angle)
2θ 12.67, intensity 32, hkl 0 0 1; 2θ 26.67, intensity 100, hkl 2 -1 1; 2θ 34.86, intensity 49, hkl 2 -1 2; 2θ 41.07, intensity 37, hkl 3 0 0; 2θ 45.68, intensity 28, hkl 1 1 3; 2θ 49.65, intensity 19, hkl 2 2 1; 2θ 54.95, intensity 14, hkl 2 2 2; 2θ 66.34, intensity 16, hkl 5 -1 1

Atomic structure:
Lattice parameters (Å, degrees): 7.6124 7.6124 6.9851 90.00 90.00 120.00
Space group P-31m (No. 162)
One atom of each set of equivalent atoms:
Ac: 0.0000 0.3342 0.2239 [6 per cell]
Ir: 0.3333 0.6667 0.0000 [2 per cell]
Rh: 0.0000 0.0000 0.0000 [1 per cell]


[7]
The following is a simulated XRD peak list of Ac3Ir4Rh2. It was derived from the PBE geometry in Alexandria, using a wavelength of 1.5418 Å.
Kinematic intensities with the Lorentz-polarization factor, no thermal factor.

Peak list (8 most intense, 5° ≤ 2θ ≤ 70°, by angle)
2θ 10.10, intensity 4, hkl 0 0 3; 2θ 31.26, intensity 100, hkl 1 0 6; 2θ 41.22, intensity 16, hkl 0 0 12; 2θ 41.38, intensity 48, hkl 1 1 0; 2θ 52.76, intensity 24, hkl 2 0 6; 2θ 59.83, intensity 33, hkl 1 1 12; 2θ 68.95, intensity 11, hkl 1 0 18; 2θ 69.17, intensity 21, hkl 2 1 6

Atomic structure:
Lattice parameters (Å, degrees): 4.3641 4.3641 26.2804 90.00 90.00 120.00
Space group P-6m2 (No. 187)
One atom of each set of equivalent atoms:
Ac: 0.0000 0.0000 0.0825 [2 per cell]
Ac: 0.0000 0.0000 0.2500 [2 per cell]
Ac: 0.0000 0.0000 0.4160 [2 per cell]
Ir: 0.3333 0.6667 0.1659 [2 per cell]
Ir: 0.3333 0.6667 0.3330 [2 per cell]
Ir: 0.3333 0.6667 0.5000 [1 per cell]
Ir: 0.6667 0.3333 0.1659 [2 per cell]
Ir: 0.6667 0.3333 0.5000 [1 per cell]
Rh: 0.3333 0.6667 0.0000 [1 per cell]
Rh: 0.6667 0.3333 0.0000 [1 per cell]
Rh: 0.6667 0.3333 0.3331 [2 per cell]


[8]
The following is a simulated XRD peak list of Ac8Ir2Rh. It was derived from the PBE geometry in Alexandria, using a wavelength of 1.5418 Å.
Kinematic intensities with the Lorentz-polarization factor, no thermal factor.

Peak list (8 most intense, 5° ≤ 2θ ≤ 70°, by angle)
2θ 26.31, intensity 20, hkl 4 0 0; 2θ 27.36, intensity 100, hkl 2 2 1; 2θ 28.08, intensity 32, hkl 2 0 -2; 2θ 35.86, intensity 39, hkl 4 2 1; 2θ 41.53, intensity 17, hkl 0 4 0; 2θ 43.14, intensity 33, hkl 0 2 3; 2θ 47.06, intensity 24, hkl 6 2 -1; 2θ 50.90, intensity 19, hkl 2 4 -2

Atomic structure:
Lattice parameters (Å, degrees): 13.5500 8.6987 7.1803 90.00 90.25 90.00
Space group C2/m (No. 12)
One atom of each set of equivalent atoms:
Ac: 0.1209 0.0000 0.3390 [4 per cell]
Ac: 0.1266 0.2627 0.8339 [8 per cell]
Ac: 0.1319 0.5000 0.3305 [4 per cell]
Ir: 0.2368 0.0000 0.9905 [4 per cell]
Rh: 0.0000 0.0000 0.0000 [2 per cell]


Copy entry 8 word for word.
The following is a simulated XRD peak list of Ac8Ir2Rh. It was derived from the PBE geometry in Alexandria, using a wavelength of 1.5418 Å.
Kinematic intensities with the Lorentz-polarization factor, no thermal factor.

Peak list (8 most intense, 5° ≤ 2θ ≤ 70°, by angle)
2θ 26.31, intensity 20, hkl 4 0 0; 2θ 27.36, intensity 100, hkl 2 2 1; 2θ 28.08, intensity 32, hkl 2 0 -2; 2θ 35.86, intensity 39, hkl 4 2 1; 2θ 41.53, intensity 17, hkl 0 4 0; 2θ 43.14, intensity 33, hkl 0 2 3; 2θ 47.06, intensity 24, hkl 6 2 -1; 2θ 50.90, intensity 19, hkl 2 4 -2

Atomic structure:
Lattice parameters (Å, degrees): 13.5500 8.6987 7.1803 90.00 90.25 90.00
Space group C2/m (No. 12)
One atom of each set of equivalent atoms:
Ac: 0.1209 0.0000 0.3390 [4 per cell]
Ac: 0.1266 0.2627 0.8339 [8 per cell]
Ac: 0.1319 0.5000 0.3305 [4 per cell]
Ir: 0.2368 0.0000 0.9905 [4 per cell]
Rh: 0.0000 0.0000 0.0000 [2 per cell]


Which formula does entry 3 have? Ac3Ir2Rh4


Copy entry 3 word for word.
The following is a simulated XRD peak list of Ac3Ir2Rh4. It was derived from the PBE geometry in Alexandria, using a wavelength of 1.5418 Å.
Kinematic intensities with the Lorentz-polarization factor, no thermal factor.

Peak list (8 most intense, 5° ≤ 2θ ≤ 70°, by angle)
2θ 23.50, intensity 6, hkl 1 0 0; 2θ 31.41, intensity 100, hkl 1 0 6; 2θ 41.31, intensity 45, hkl 1 1 0; 2θ 41.77, intensity 15, hkl 0 0 12; 2θ 52.80, intensity 24, hkl 2 0 6; 2θ 60.20, intensity 30, hkl 1 1 12; 2θ 69.16, intensity 21, hkl 2 1 6; 2θ 69.82, intensity 10, hkl 1 0 18

Atomic structure:
Lattice parameters (Å, degrees): 4.3709 4.3709 25.9476 90.00 90.00 120.00
Space group P-6m2 (No. 187)
One atom of each set of equivalent atoms:
Ac: 0.0000 0.0000 0.0831 [2 per cell]
Ac: 0.0000 0.0000 0.2491 [2 per cell]
Ac: 0.0000 0.0000 0.4155 [2 per cell]
Ir: 0.3333 0.6667 0.5000 [1 per cell]
Ir: 0.6667 0.3333 0.1661 [2 per cell]
Ir: 0.6667 0.3333 0.5000 [1 per cell]
Rh: 0.3333 0.6667 0.0000 [1 per cell]
Rh: 0.3333 0.6667 0.1660 [2 per cell]
Rh: 0.3333 0.6667 0.3323 [2 per cell]
Rh: 0.6667 0.3333 0.0000 [1 per cell]
Rh: 0.6667 0.3333 0.3321 [2 per cell]